The following is a computed powder diffraction line list of AcPmSnI. It was derived from a structure optimized by DFT (PBE), using Cu Kα, 1.54184 Å.
Intensities are scaled so that the largest is 100.

The 12 most intense peaks (2θ from 5° to 70°), most intense first:
2θ/deg  Rel. int.  (hkl)
31.47  100  2 2 0
56.02  40  4 2 2
45.10  19  4 0 0
65.68  12  4 4 0
22.11  4  2 0 0
19.12  3  1 1 1
50.77  2  4 2 0
37.08  2  3 1 1
38.79  1  2 2 2
49.40  1  3 3 1
69.10  1  5 3 1
59.75  1  5 1 1

Structural model:
Unit cell a=8.0417 b=8.0417 c=8.0417 alpha=90.00 beta=90.00 gamma=90.00
Sites, in units of the cell vectors:
Ac1 0.0000 0.0000 0.0000
Ac2 0.0000 0.5000 0.5000
Ac3 0.5000 0.0000 0.5000
Ac4 0.5000 0.5000 0.0000
Pm1 0.0000 0.0000 0.5000
Pm2 0.0000 0.5000 0.0000
Pm3 0.5000 0.0000 0.0000
Pm4 0.5000 0.5000 0.5000
Sn1 0.2500 0.2500 0.7500
Sn2 0.2500 0.7500 0.2500
Sn3 0.7500 0.2500 0.2500
Sn4 0.7500 0.7500 0.7500
I1 0.2500 0.2500 0.2500
I2 0.2500 0.7500 0.7500
I3 0.7500 0.2500 0.7500
I4 0.7500 0.7500 0.2500